Entry 1:
Computed X-ray diffraction stick pattern
Compound: Mn29H2
Radiation: CuKα
Structure: a cell relaxed with GGA-PBE

The 6 most intense peaks (2θ = 10–80°), most intense first:
44.4°, I = 100
44.4°, I = 38
49.4°, I = 30
54.0°, I = 11
51.7°, I = 10
53.9°, I = 9

Crystal structure
```
Mn29H2
1.0
4.336 -6.121 0.000
4.336 6.121 0.000
-4.327 0.000 6.119
Mn H
29 2
Direct
0.000 0.000 0.000
0.000 0.000 0.639
0.000 0.387 0.681
0.000 0.680 0.387
0.001 0.192 0.373
0.179 0.807 0.808
0.192 0.001 0.373
0.195 0.373 0.000
0.296 0.616 0.616
0.320 0.704 0.320
0.323 0.323 0.711
0.362 0.362 0.361
0.372 0.999 0.191
0.373 0.195 0.000
0.387 0.000 0.681
0.388 0.677 0.000
0.612 0.612 0.289
0.616 0.296 0.616
0.627 0.627 0.822
0.628 0.822 0.628
0.638 0.999 0.000
0.677 0.388 0.000
0.680 0.000 0.387
0.704 0.320 0.320
0.806 0.806 0.179
0.807 0.179 0.808
0.822 0.628 0.628
0.999 0.372 0.191
0.999 0.638 0.000
0.000 0.460 0.460
0.460 0.000 0.460
```

Entry 2:
Computed X-ray diffraction stick pattern
Compound: Na2MnH8N4
Radiation: CuKα
Structure: a cell relaxed with GGA-PBE

The 6 most intense peaks (2θ = 10–80°), most intense first:
16.6°, I = 100
16.9°, I = 59
32.4°, I = 48
34.8°, I = 41
18.8°, I = 37
24.7°, I = 33

Crystal structure
```
Na2MnH8N4
1.0
6.399 0.000 0.000
0.000 14.408 0.000
-3.026 0.000 6.268
Na Mn H N
8 4 32 16
Direct
0.216 0.146 0.357
0.216 0.354 0.857
0.249 0.559 0.042
0.249 0.941 0.542
0.751 0.059 0.458
0.751 0.441 0.958
0.784 0.646 0.143
0.784 0.854 0.643
0.248 0.117 0.830
0.248 0.383 0.330
0.752 0.617 0.670
0.752 0.883 0.170
0.001 0.741 0.979
0.001 0.759 0.479
0.048 0.505 0.658
0.048 0.995 0.158
0.152 0.721 0.847
0.152 0.779 0.347
0.186 0.551 0.392
0.186 0.949 0.892
0.384 0.667 0.345
0.384 0.833 0.845
0.389 0.638 0.743
0.389 0.862 0.243
0.401 0.218 0.173
0.401 0.282 0.673
0.416 0.528 0.722
0.416 0.972 0.222
0.584 0.028 0.778
0.584 0.472 0.278
0.599 0.718 0.327
0.599 0.782 0.827
0.611 0.138 0.757
0.611 0.362 0.257
0.616 0.167 0.155
0.616 0.333 0.655
0.814 0.051 0.108
0.814 0.449 0.608
0.848 0.221 0.653
0.848 0.279 0.153
0.952 0.005 0.842
0.952 0.495 0.342
0.999 0.241 0.521
0.999 0.259 0.021
0.007 0.208 0.656
0.007 0.292 0.156
0.072 0.505 0.282
0.072 0.995 0.782
0.446 0.155 0.128
0.446 0.345 0.628
0.488 0.087 0.711
0.488 0.413 0.211
0.512 0.587 0.789
0.512 0.913 0.289
0.554 0.655 0.372
0.554 0.845 0.872
0.928 0.005 0.218
0.928 0.495 0.718
0.993 0.708 0.844
0.993 0.792 0.344
```

Entry 3:
Computed X-ray diffraction stick pattern
Compound: MnSb2H8S4N4
Radiation: CuKα
Structure: a cell relaxed with GGA-PBE

The 6 most intense peaks (2θ = 10–80°), most intense first:
16.2°, I = 100
30.7°, I = 42
24.4°, I = 39
28.7°, I = 36
25.4°, I = 34
31.0°, I = 26

Crystal structure
```
MnSb2H8S4N4
1.0
9.712 -2.275 0.000
9.712 2.275 0.000
-1.133 0.000 12.453
Mn Sb H S N
2 4 16 8 8
Direct
0.000 0.000 0.000
0.000 0.000 0.500
0.070 0.325 0.146
0.325 0.070 0.646
0.675 0.930 0.354
0.930 0.675 0.854
0.181 0.628 0.127
0.202 0.664 0.666
0.336 0.798 0.834
0.339 0.454 0.009
0.372 0.819 0.373
0.415 0.565 0.843
0.435 0.585 0.657
0.454 0.339 0.509
0.546 0.661 0.491
0.565 0.415 0.343
0.585 0.435 0.157
0.628 0.181 0.627
0.661 0.546 0.991
0.664 0.202 0.166
0.798 0.336 0.334
0.819 0.372 0.873
0.030 0.554 0.660
0.063 0.753 0.350
0.247 0.937 0.150
0.446 0.970 0.840
0.554 0.030 0.160
0.753 0.063 0.850
0.937 0.247 0.650
0.970 0.446 0.340
0.304 0.560 0.069
0.327 0.602 0.614
0.398 0.673 0.886
0.440 0.696 0.431
0.560 0.304 0.569
0.602 0.327 0.114
0.673 0.398 0.386
0.696 0.440 0.931
```

Entry 4:
Computed X-ray diffraction stick pattern
Compound: Nd2MnSi2H
Radiation: CuKα
Structure: a cell relaxed with GGA-PBE

The 6 most intense peaks (2θ = 10–80°), most intense first:
29.5°, I = 100
17.6°, I = 62
34.6°, I = 48
42.3°, I = 45
38.1°, I = 34
23.6°, I = 30

Crystal structure
```
Nd2MnSi2H
1.0
3.023 0.000 0.000
0.000 3.023 0.000
0.000 0.000 15.091
Nd Mn Si H
2 1 2 1
Direct
0.000 0.000 0.141
0.000 0.000 0.859
0.000 0.000 0.500
0.000 0.000 0.339
0.000 0.000 0.661
0.000 0.000 0.000
```

Entry 5:
Computed X-ray diffraction stick pattern
Compound: Mn3SnH
Radiation: CuKα
Structure: a cell relaxed with GGA-PBE

The 6 most intense peaks (2θ = 10–80°), most intense first:
40.5°, I = 100
47.1°, I = 49
68.8°, I = 30
23.1°, I = 15
32.8°, I = 14
53.1°, I = 8

Crystal structure
```
Mn3SnH
1.0
3.858 0.000 0.000
0.000 3.858 0.000
0.000 0.000 3.858
Mn Sn H
3 1 1
Direct
0.000 0.000 0.500
0.000 0.500 0.000
0.500 0.000 0.000
0.500 0.500 0.500
0.000 0.000 0.000
```